Record 1
Starting from a structure optimized by DFT (PBE), the powder diffractogram of SrSm2Cu was computed for λ = 1.5418 Å (Cu Kα).
Lines closer than 0.1° are merged.

a = 3.6699 Å, b = 3.6699 Å, c = 9.5935 Å
α = 90.00°, β = 90.00°, γ = 90.00°
Sites, in units of the cell vectors:
Sr (0.0000, 0.0000, 0.0000)
Sm (0.5000, 0.5000, 0.3311)
Sm (0.5000, 0.5000, 0.6689)
Cu (0.0000, 0.0000, 0.5000)

The 10 most intense peaks (10 to 80 degrees two-theta), low angle first:
Position (°2θ), I (rel.)
26.00, 418
27.90, 325
30.67, 1000
34.56, 767
37.30, 467
44.99, 356
45.16, 295
49.69, 272
59.53, 295
68.99, 200

***

Record 2
Starting from a structure optimized by DFT (PBE), the powder diffractogram of TbSm2Cu3 was computed for λ = 1.5418 Å (Cu Kα).
Lines closer than 0.1° are merged.

a = 3.5158 Å, b = 3.5158 Å, c = 10.6216 Å
α = 90.00°, β = 90.00°, γ = 90.00°
Sites, in units of the cell vectors:
Tb (0.0000, 0.0000, 0.0000)
Sm (0.0000, 0.0000, 0.3313)
Sm (0.0000, 0.0000, 0.6687)
Cu (0.5000, 0.5000, 0.1597)
Cu (0.5000, 0.5000, 0.5000)
Cu (0.5000, 0.5000, 0.8403)

The 10 most intense peaks (10 to 80 degrees two-theta), low angle first:
Position (°2θ), I (rel.)
25.15, 88
25.33, 172
36.00, 1000
36.13, 497
44.53, 80
51.63, 87
52.02, 172
64.63, 173
64.89, 347
76.35, 106

***

Record 3
Starting from a structure optimized by DFT (PBE), the powder diffractogram of Sm2CuTe4 was computed for λ = 1.5418 Å (Cu Kα).
Lines closer than 0.1° are merged.

a = 6.3987 Å, b = 8.2956 Å, c = 7.6819 Å
α = 90.00°, β = 90.02°, γ = 90.00°
Sites, in units of the cell vectors:
Sm (0.9995, 0.0000, 0.2324)
Sm (0.0005, 0.5000, 0.7676)
Sm (0.4953, 0.8871, 0.7585)
Sm (0.5047, 0.3871, 0.2415)
Cu (0.1901, 0.6506, 0.4116)
Cu (0.8099, 0.1506, 0.5884)
Te (0.0142, 0.8587, 0.6182)
Te (0.2471, 0.6933, 0.0797)
Te (0.2540, 0.1947, 0.9335)
Te (0.4836, 0.5339, 0.6191)
Te (0.5164, 0.0339, 0.3809)
Te (0.7460, 0.6947, 0.0665)
Te (0.7529, 0.1933, 0.9203)
Te (0.9858, 0.3587, 0.3818)

The 10 most intense peaks (10 to 80 degrees two-theta), low angle first:
Position (°2θ), I (rel.)
21.00, 426
25.56, 375
29.18, 587
30.26, 431
31.75, 517
32.17, 697
34.47, 859
35.43, 1000
36.55, 465
39.43, 738

***

Record 4
Starting from a structure optimized by DFT (PBE), the powder diffractogram of Sm2TmCuTe5 was computed for λ = 1.5418 Å (Cu Kα).
Lines closer than 0.1° are merged.

a = 9.6755 Å, b = 9.6755 Å, c = 12.9496 Å
α = 90.00°, β = 90.00°, γ = 154.49°
Sites, in units of the cell vectors:
Sm (0.1093, 0.8907, 0.5000)
Sm (0.1246, 0.8754, 0.1194)
Sm (0.8754, 0.1246, 0.6194)
Sm (0.8907, 0.1093, 0.0000)
Tm (0.1901, 0.8099, 0.8237)
Tm (0.8099, 0.1901, 0.3237)
Cu (0.4279, 0.5721, 0.2739)
Cu (0.5721, 0.4279, 0.7739)
Te (0.0413, 0.9587, 0.8799)
Te (0.2858, 0.7142, 0.4853)
Te (0.3113, 0.6887, 0.1567)
Te (0.3537, 0.6463, 0.8132)
Te (0.4999, 0.5001, 0.1015)
Te (0.5001, 0.4999, 0.6015)
Te (0.6463, 0.3537, 0.3132)
Te (0.6887, 0.3113, 0.6567)
Te (0.7142, 0.2858, 0.9853)
Te (0.9587, 0.0413, 0.3799)

The 10 most intense peaks (10 to 80 degrees two-theta), low angle first:
Position (°2θ), I (rel.)
25.42, 165
29.21, 419
29.80, 1000
31.63, 155
34.60, 627
38.03, 140
40.16, 134
42.31, 295
48.83, 107
52.25, 164

***

Record 5
Starting from a structure optimized by DFT (PBE), the powder diffractogram of SmThCu4 was computed for λ = 1.5418 Å (Cu Kα).
Lines closer than 0.1° are merged.

a = 5.3402 Å, b = 5.3402 Å, c = 5.3402 Å
α = 60.00°, β = 60.00°, γ = 60.00°
Sites, in units of the cell vectors:
Sm (0.0000, 0.0000, 0.0000)
Th (0.7500, 0.7500, 0.7500)
Cu (0.3748, 0.3748, 0.3748)
Cu (0.3748, 0.3748, 0.8757)
Cu (0.3748, 0.8757, 0.3748)
Cu (0.8757, 0.3748, 0.3748)

The 10 most intense peaks (10 to 80 degrees two-theta), low angle first:
Position (°2θ), I (rel.)
20.37, 191
23.56, 30
33.56, 660
39.58, 1000
41.42, 145
52.84, 53
60.01, 255
64.07, 317
70.54, 224
74.30, 43

***

Record 6
Starting from a structure optimized by DFT (PBE), the powder diffractogram of SmThCu2 was computed for λ = 1.5418 Å (Cu Kα).
Lines closer than 0.1° are merged.

a = 3.7887 Å, b = 4.3689 Å, c = 5.8356 Å
α = 90.00°, β = 108.31°, γ = 90.00°
Sites, in units of the cell vectors:
Sm (0.0000, 0.0000, 0.0000)
Th (0.7150, 0.5000, 0.4218)
Cu (0.2881, 0.0000, 0.5711)
Cu (0.4240, 0.5000, 0.8442)

The 10 most intense peaks (10 to 80 degrees two-theta), low angle first:
Position (°2θ), I (rel.)
25.97, 612
32.26, 1000
32.37, 686
33.70, 347
34.09, 342
38.48, 342
39.68, 273
40.01, 252
41.33, 361
48.03, 234